Structure and computed X-ray diffraction stick pattern of ZnNi2 (a crystal structure in Alexandria, relaxed with GGA-PBE; Cu Kα, 1.54184 Å).
Intensities are scaled so that the largest is 1000.

Atomic structure:
abc: 4.416 4.416 4.156
angles: 90.00 90.00 59.84
Fractional coordinates of all 6 atoms:
Zn (0.180, 0.820, 0.750)
Zn (0.820, 0.180, 0.250)
Ni (0.163, 0.495, 0.250)
Ni (0.495, 0.163, 0.750)
Ni (0.505, 0.837, 0.250)
Ni (0.837, 0.505, 0.750)

Main lines, low angle first (2θ = 15–90°):
two_theta  I_rel
40.9  151
43.6  275
46.6  1000
61.3  139
74.6  97
82.2  169



Structure and computed X-ray diffraction stick pattern of Zn5Ni (a crystal structure in Alexandria, relaxed with GGA-PBE; Cu Kα, 1.54184 Å).
Intensities are scaled so that the largest is 1000.

Atomic structure:
abc: 2.783 2.783 10.870
angles: 90.00 90.00 90.00
Fractional coordinates of all 6 atoms:
Zn (0.000, 0.000, 0.000)
Zn (0.000, 0.000, 0.355)
Zn (0.000, 0.000, 0.645)
Zn (0.500, 0.500, 0.175)
Zn (0.500, 0.500, 0.825)
Ni (0.500, 0.500, 0.500)

Main lines, low angle first (2θ = 15–90°):
two_theta  I_rel
40.9  1000
46.1  371
50.4  110
67.3  111
70.7  148
81.8  234